(1)
Calculated PXRD pattern of K6Ti2S6O for copper Kα, from a GGA-PBE-relaxed structure.
Intensities are scaled so that the largest is 100.

Atomic structure:
```
data_K6Ti2S6O
_space_group_name_H-M_alt 'P 1'
_space_group_IT_number 1
_cell_length_a 13.469
_cell_length_b 10.467
_cell_length_c 13.175
_cell_angle_alpha 90.00
_cell_angle_beta 106.09
_cell_angle_gamma 90.00
loop_
_space_group_symop_operation_xyz
'x,y,z'
loop_
_atom_site_label
_atom_site_type_symbol
_atom_site_fract_x
_atom_site_fract_y
_atom_site_fract_z
K1 K 0.005 0.156 0.393
K2 K 0.005 0.344 0.893
K3 K 0.089 0.025 0.157
K4 K 0.089 0.475 0.657
K5 K 0.200 0.736 0.437
K6 K 0.200 0.764 0.937
K7 K 0.285 0.215 0.582
K8 K 0.285 0.285 0.082
K9 K 0.406 0.547 0.833
K10 K 0.406 0.953 0.333
K11 K 0.468 0.168 0.897
K12 K 0.468 0.332 0.397
K13 K 0.532 0.668 0.603
K14 K 0.532 0.832 0.103
K15 K 0.594 0.047 0.667
K16 K 0.594 0.453 0.167
K17 K 0.715 0.715 0.918
K18 K 0.715 0.785 0.418
K19 K 0.800 0.236 0.063
K20 K 0.800 0.264 0.563
K21 K 0.911 0.525 0.343
K22 K 0.911 0.975 0.843
K23 K 0.995 0.656 0.107
K24 K 0.995 0.844 0.607
Ti1 Ti 0.179 0.132 0.791
Ti2 Ti 0.179 0.368 0.291
Ti3 Ti 0.339 0.609 0.219
Ti4 Ti 0.339 0.891 0.719
Ti5 Ti 0.661 0.109 0.281
Ti6 Ti 0.661 0.391 0.781
Ti7 Ti 0.821 0.632 0.709
Ti8 Ti 0.821 0.868 0.209
S1 S 0.037 0.149 0.650
S2 S 0.037 0.351 0.150
S3 S 0.140 0.059 0.937
S4 S 0.140 0.441 0.437
S5 S 0.224 0.729 0.699
S6 S 0.224 0.771 0.199
S7 S 0.248 0.172 0.332
S8 S 0.248 0.328 0.832
S9 S 0.375 0.576 0.064
S10 S 0.375 0.924 0.564
S11 S 0.490 0.648 0.344
S12 S 0.490 0.852 0.844
S13 S 0.510 0.148 0.156
S14 S 0.510 0.352 0.656
S15 S 0.625 0.076 0.436
S16 S 0.625 0.424 0.936
S17 S 0.752 0.672 0.168
S18 S 0.752 0.828 0.668
S19 S 0.776 0.229 0.801
S20 S 0.776 0.271 0.301
S21 S 0.860 0.559 0.563
S22 S 0.860 0.941 0.063
S23 S 0.963 0.649 0.850
S24 S 0.963 0.851 0.350
O1 O 0.284 0.041 0.756
O2 O 0.284 0.459 0.256
O3 O 0.716 0.541 0.744
O4 O 0.716 0.959 0.244
```

Principal peaks in the range 2θ from 15° to 90°, by angle:
- 2θ = 25.07°, I = 37
- 2θ = 26.89°, I = 34
- 2θ = 27.26°, I = 19
- 2θ = 27.73°, I = 42
- 2θ = 29.06°, I = 100
- 2θ = 29.16°, I = 23
- 2θ = 32.53°, I = 62
- 2θ = 35.29°, I = 18
- 2θ = 35.91°, I = 19
- 2θ = 36.11°, I = 18
- 2θ = 38.37°, I = 25
- 2θ = 39.06°, I = 18

(2)
Calculated PXRD pattern of LiNp2H12Rh3 for copper Kα, from a GGA-PBE-relaxed structure.
Intensities are scaled so that the largest is 100.

Atomic structure:
```
data_LiNp2H12Rh3
_space_group_name_H-M_alt 'P 1'
_space_group_IT_number 1
_cell_length_a 5.836
_cell_length_b 5.836
_cell_length_c 5.836
_cell_angle_alpha 64.83
_cell_angle_beta 64.83
_cell_angle_gamma 64.83
loop_
_space_group_symop_operation_xyz
'x,y,z'
loop_
_atom_site_label
_atom_site_type_symbol
_atom_site_fract_x
_atom_site_fract_y
_atom_site_fract_z
Li1 Li 0.000 0.000 0.000
Np1 Np 0.389 0.389 0.389
Np2 Np 0.611 0.611 0.611
H1 H 0.124 0.124 0.616
H2 H 0.124 0.616 0.124
H3 H 0.142 0.683 0.683
H4 H 0.317 0.317 0.858
H5 H 0.317 0.858 0.317
H6 H 0.384 0.876 0.876
H7 H 0.616 0.124 0.124
H8 H 0.683 0.142 0.683
H9 H 0.683 0.683 0.142
H10 H 0.858 0.317 0.317
H11 H 0.876 0.384 0.876
H12 H 0.876 0.876 0.384
Rh1 Rh 0.000 0.000 0.500
Rh2 Rh 0.000 0.500 0.000
Rh3 Rh 0.500 0.000 0.000
```

Principal peaks in the range 2θ from 15° to 90°, by angle:
- 2θ = 17.59°, I = 60
- 2θ = 28.53°, I = 43
- 2θ = 30.80°, I = 79
- 2θ = 33.72°, I = 100
- 2θ = 34.72°, I = 47
- 2θ = 35.62°, I = 31
- 2θ = 36.64°, I = 53
- 2θ = 49.29°, I = 18
- 2θ = 51.97°, I = 37
- 2θ = 55.98°, I = 32
- 2θ = 59.06°, I = 28
- 2θ = 89.71°, I = 18

(3)
Calculated PXRD pattern of PtCl3F for copper Kα, from a GGA-PBE-relaxed structure.
Intensities are scaled so that the largest is 100.

Atomic structure:
```
data_PtCl3F
_space_group_name_H-M_alt 'P 1'
_space_group_IT_number 1
_cell_length_a 7.233
_cell_length_b 9.084
_cell_length_c 10.536
_cell_angle_alpha 90.00
_cell_angle_beta 96.54
_cell_angle_gamma 90.00
loop_
_space_group_symop_operation_xyz
'x,y,z'
loop_
_atom_site_label
_atom_site_type_symbol
_atom_site_fract_x
_atom_site_fract_y
_atom_site_fract_z
Pt1 Pt 0.080 0.135 0.110
Pt2 Pt 0.080 0.865 0.610
Pt3 Pt 0.920 0.135 0.390
Pt4 Pt 0.920 0.865 0.890
Cl1 Cl 0.054 0.131 0.599
Cl2 Cl 0.054 0.869 0.099
Cl3 Cl 0.088 0.385 0.102
Cl4 Cl 0.088 0.615 0.602
Cl5 Cl 0.367 0.119 0.044
Cl6 Cl 0.367 0.881 0.544
Cl7 Cl 0.633 0.119 0.456
Cl8 Cl 0.633 0.881 0.956
Cl9 Cl 0.912 0.385 0.398
Cl10 Cl 0.912 0.615 0.898
Cl11 Cl 0.946 0.131 0.901
Cl12 Cl 0.946 0.869 0.401
F1 F 0.176 0.139 0.301
F2 F 0.176 0.861 0.801
F3 F 0.824 0.139 0.199
F4 F 0.824 0.861 0.699
```

Principal peaks in the range 2θ from 15° to 90°, by angle:
- 2θ = 15.72°, I = 61
- 2θ = 18.54°, I = 100
- 2θ = 19.82°, I = 42
- 2θ = 21.33°, I = 35
- 2θ = 25.19°, I = 38
- 2θ = 28.49°, I = 39
- 2θ = 28.88°, I = 31
- 2θ = 29.50°, I = 31
- 2θ = 37.91°, I = 35
- 2θ = 39.55°, I = 31
- 2θ = 39.69°, I = 31
- 2θ = 56.03°, I = 32

(4)
Calculated PXRD pattern of NaLiCu2Cl6 for copper Kα, from a GGA-PBE-relaxed structure.
Intensities are scaled so that the largest is 100.

Atomic structure:
```
data_NaLiCu2Cl6
_space_group_name_H-M_alt 'P 1'
_space_group_IT_number 1
_cell_length_a 8.792
_cell_length_b 8.792
_cell_length_c 7.311
_cell_angle_alpha 105.08
_cell_angle_beta 105.08
_cell_angle_gamma 76.15
loop_
_space_group_symop_operation_xyz
'x,y,z'
loop_
_atom_site_label
_atom_site_type_symbol
_atom_site_fract_x
_atom_site_fract_y
_atom_site_fract_z
Na1 Na 0.128 0.872 0.750
Na2 Na 0.872 0.128 0.250
Li1 Li 0.231 0.769 0.250
Li2 Li 0.769 0.231 0.750
Cu1 Cu 0.200 0.357 0.773
Cu2 Cu 0.357 0.200 0.273
Cu3 Cu 0.643 0.800 0.727
Cu4 Cu 0.800 0.643 0.227
Cl1 Cl 0.028 0.185 0.657
Cl2 Cl 0.185 0.028 0.157
Cl3 Cl 0.202 0.611 0.932
Cl4 Cl 0.225 0.391 0.484
Cl5 Cl 0.389 0.798 0.568
Cl6 Cl 0.391 0.225 0.984
Cl7 Cl 0.609 0.775 0.016
Cl8 Cl 0.611 0.202 0.432
Cl9 Cl 0.775 0.609 0.516
Cl10 Cl 0.798 0.389 0.068
Cl11 Cl 0.815 0.972 0.843
Cl12 Cl 0.972 0.815 0.343
```

Principal peaks in the range 2θ from 15° to 90°, by angle:
- 2θ = 16.35°, I = 28
- 2θ = 20.84°, I = 100
- 2θ = 21.30°, I = 60
- 2θ = 22.00°, I = 49
- 2θ = 22.46°, I = 66
- 2θ = 24.89°, I = 52
- 2θ = 29.73°, I = 24
- 2θ = 35.34°, I = 35
- 2θ = 35.58°, I = 23
- 2θ = 40.59°, I = 46
- 2θ = 48.21°, I = 25
- 2θ = 50.37°, I = 25

(5)
Calculated PXRD pattern of SmTmGa2Pt5 for copper Kα, from a GGA-PBE-relaxed structure.
Intensities are scaled so that the largest is 100.

Atomic structure:
```
data_SmTmGa2Pt5
_space_group_name_H-M_alt 'P 1'
_space_group_IT_number 1
_cell_length_a 4.193
_cell_length_b 4.193
_cell_length_c 9.348
_cell_angle_alpha 90.00
_cell_angle_beta 90.00
_cell_angle_gamma 90.00
loop_
_space_group_symop_operation_xyz
'x,y,z'
loop_
_atom_site_label
_atom_site_type_symbol
_atom_site_fract_x
_atom_site_fract_y
_atom_site_fract_z
Sm1 Sm 0.000 0.000 0.000
Tm1 Tm 0.000 0.000 0.500
Ga1 Ga 0.500 0.500 0.371
Ga2 Ga 0.500 0.500 0.629
Pt1 Pt 0.000 0.500 0.229
Pt2 Pt 0.000 0.500 0.771
Pt3 Pt 0.500 0.000 0.229
Pt4 Pt 0.500 0.000 0.771
Pt5 Pt 0.500 0.500 0.000
```

Principal peaks in the range 2θ from 15° to 90°, by angle:
- 2θ = 18.99°, I = 4
- 2θ = 35.87°, I = 100
- 2θ = 38.52°, I = 13
- 2θ = 42.07°, I = 13
- 2θ = 43.15°, I = 37
- 2θ = 59.21°, I = 15
- 2θ = 62.67°, I = 12
- 2θ = 67.08°, I = 5
- 2θ = 67.97°, I = 11
- 2θ = 74.37°, I = 24
- 2θ = 76.03°, I = 7
- 2θ = 78.38°, I = 4

(6)
Calculated PXRD pattern of Na3La5Cl18 for copper Kα, from a GGA-PBE-relaxed structure.
Intensities are scaled so that the largest is 100.

Atomic structure:
```
data_Na3La5Cl18
_space_group_name_H-M_alt 'P 1'
_space_group_IT_number 1
_cell_length_a 7.691
_cell_length_b 7.691
_cell_length_c 13.078
_cell_angle_alpha 90.00
_cell_angle_beta 90.00
_cell_angle_gamma 120.00
loop_
_space_group_symop_operation_xyz
'x,y,z'
loop_
_atom_site_label
_atom_site_type_symbol
_atom_site_fract_x
_atom_site_fract_y
_atom_site_fract_z
Na1 Na 0.000 0.000 0.000
Na2 Na 0.667 0.333 0.235
Na3 Na 0.667 0.333 0.765
La1 La 0.000 0.000 0.331
La2 La 0.000 0.000 0.669
La3 La 0.333 0.667 0.159
La4 La 0.333 0.667 0.500
La5 La 0.333 0.667 0.841
Cl1 Cl 0.055 0.635 0.336
Cl2 Cl 0.055 0.635 0.664
Cl3 Cl 0.060 0.631 0.000
Cl4 Cl 0.271 0.023 0.500
Cl5 Cl 0.281 0.028 0.175
Cl6 Cl 0.281 0.028 0.825
Cl7 Cl 0.365 0.421 0.336
Cl8 Cl 0.365 0.421 0.664
Cl9 Cl 0.369 0.429 0.000
Cl10 Cl 0.571 0.940 0.000
Cl11 Cl 0.579 0.945 0.336
Cl12 Cl 0.579 0.945 0.664
Cl13 Cl 0.747 0.719 0.175
Cl14 Cl 0.747 0.719 0.825
Cl15 Cl 0.752 0.729 0.500
Cl16 Cl 0.972 0.253 0.175
Cl17 Cl 0.972 0.253 0.825
Cl18 Cl 0.977 0.248 0.500
```

Principal peaks in the range 2θ from 15° to 90°, by angle:
- 2θ = 23.13°, I = 43
- 2θ = 24.40°, I = 56
- 2θ = 26.77°, I = 14
- 2θ = 31.01°, I = 36
- 2θ = 33.87°, I = 100
- 2θ = 35.66°, I = 19
- 2θ = 40.64°, I = 41
- 2θ = 41.42°, I = 98
- 2θ = 59.42°, I = 22
- 2θ = 64.06°, I = 14
- 2θ = 64.63°, I = 36
- 2θ = 79.21°, I = 21

(7)
Calculated PXRD pattern of CsK2PuCl6 for copper Kα, from a GGA-PBE-relaxed structure.
Intensities are scaled so that the largest is 100.

Atomic structure:
```
data_CsK2PuCl6
_space_group_name_H-M_alt 'P 1'
_space_group_IT_number 1
_cell_length_a 8.401
_cell_length_b 8.401
_cell_length_c 8.401
_cell_angle_alpha 55.98
_cell_angle_beta 55.98
_cell_angle_gamma 55.98
loop_
_space_group_symop_operation_xyz
'x,y,z'
loop_
_atom_site_label
_atom_site_type_symbol
_atom_site_fract_x
_atom_site_fract_y
_atom_site_fract_z
Cs1 Cs 0.000 0.000 0.000
K1 K 0.204 0.204 0.204
K2 K 0.719 0.719 0.719
Pu1 Pu 0.517 0.517 0.517
Cl1 Cl 0.165 0.427 0.754
Cl2 Cl 0.351 0.879 0.573
Cl3 Cl 0.427 0.754 0.165
Cl4 Cl 0.573 0.351 0.879
Cl5 Cl 0.754 0.165 0.427
Cl6 Cl 0.879 0.573 0.351
```

Principal peaks in the range 2θ from 15° to 90°, by angle:
- 2θ = 15.44°, I = 100
- 2θ = 21.23°, I = 63
- 2θ = 22.55°, I = 49
- 2θ = 25.88°, I = 23
- 2θ = 27.45°, I = 18
- 2θ = 31.17°, I = 31
- 2θ = 34.09°, I = 60
- 2θ = 35.81°, I = 20
- 2θ = 38.81°, I = 35
- 2θ = 39.59°, I = 31
- 2θ = 44.83°, I = 22
- 2θ = 53.22°, I = 15